Structure and simulated powder diffraction line list of TmHfFeOs (a crystal structure in Alexandria, relaxed with PBE; Cu Kα).

Cell: 4.6082 4.6082 4.6082 Å, 60.00 60.00 60.00°
Sites, in units of the cell vectors:
Tm (0.0000, 0.0000, 0.0000)
Hf (0.5000, 0.5000, 0.5000)
Fe (0.2500, 0.2500, 0.2500)
Os (0.7500, 0.7500, 0.7500)

Peak list (10 most intense, 2θ = 10–80°, by intensity)
| Position (°2θ) | I (rel.) |
| --- | --- |
| 39.1 | 100 |
| 70.8 | 35 |
| 56.5 | 17 |
| 23.6 | 11 |
| 46.2 | 6 |
| 27.4 | 3 |
| 62.1 | 3 |
| 75.9 | 2 |
| 63.9 | 1 |
| 48.4 | 1 |